Record 1
SbPb2S2I3: calculated X-ray diffraction stick pattern (a wavelength of 1.5418 Å), based on DFT lattice parameters and positions (PBE).

Principal peaks in the range 5 to 70 degrees two-theta, in order of rising 2θ:
2theta  d_spacing  I (rel.)  index
24.4  3.653  42  1 4 0
27.0  3.300  46  2 0 -2
27.2  3.280  45  1 0 2
27.5  3.238  28  2 1 -2
30.1  2.966  100  0 4 2
41.2  2.190  33  1 0 -4

Structure:
```
data_SbPb2S2I3
_chemical_formula_sum 'Sb4 Pb8 S8 I12'
_cell_length_a 7.8042
_cell_length_b 16.7482
_cell_length_c 8.7585
_cell_angle_alpha 90.00
_cell_angle_beta 106.66
_cell_angle_gamma 90.00
_space_group_name_H-M_alt 'P 1 21/c 1'
_space_group_IT_number 14
loop_
_space_group_symop_operation_xyz
'x,y,z'
'-x,-y,-z'
'-x,y+1/2,-z+1/2'
'x,-y+1/2,z+1/2'
loop_
_atom_site_label
_atom_site_fract_x
_atom_site_fract_y
_atom_site_fract_z
_atom_site_occupancy
Sb1 0.1964 0.0190 0.1777 1
Pb1 0.1117 0.7337 0.1639 1
Pb2 0.2560 0.0272 0.6919 1
S1 0.0383 0.0854 0.9060 1
S2 0.0386 0.0758 0.3670 1
I1 0.1897 0.2413 0.6692 1
I2 0.3670 0.6171 0.9672 1
I3 0.3977 0.6197 0.4678 1
```

Record 2
ThPbI6: calculated X-ray diffraction stick pattern (a wavelength of 1.5418 Å), based on DFT lattice parameters and positions (PBE).

Principal peaks in the range 5 to 70 degrees two-theta, in order of rising 2θ:
2theta  d_spacing  I (rel.)  index
11.9  7.452  79  0 0 2
26.8  3.323  37  0 1 3
28.3  3.157  100  1 1 3
29.1  3.070  45  3 0 2
33.9  2.648  52  3 1 1
40.5  2.229  44  2 0 6

Structure:
```
data_ThPbI6
_chemical_formula_sum 'Th2 Pb2 I12'
_cell_length_a 10.1069
_cell_length_b 4.4713
_cell_length_c 14.9044
_cell_angle_alpha 90.00
_cell_angle_beta 90.00
_cell_angle_gamma 90.00
_space_group_name_H-M_alt 'A m m 2'
_space_group_IT_number 38
loop_
_space_group_symop_operation_xyz
'x,y,z'
'-x,-y,z'
'-x,y,z'
'x,-y,z'
'x,y+1/2,z+1/2'
'-x,-y+1/2,z+1/2'
'-x,y+1/2,z+1/2'
'x,-y+1/2,z+1/2'
loop_
_atom_site_label
_atom_site_fract_x
_atom_site_fract_y
_atom_site_fract_z
_atom_site_occupancy
Th1 0.0000 0.0000 0.0000 1
Pb1 0.5000 0.0000 0.4739 1
I1 0.0000 0.0000 0.6509 1
I2 0.1744 0.0000 0.3914 1
I3 0.2953 0.0000 0.0873 1
I4 0.5000 0.0000 0.8245 1
```

Record 3
ThPbI6: calculated X-ray diffraction stick pattern (a wavelength of 1.5418 Å), based on DFT lattice parameters and positions (PBE).

Principal peaks in the range 5 to 70 degrees two-theta, in order of rising 2θ:
2theta  d_spacing  I (rel.)  index
14.4  6.168  40  1 0 1
18.0  4.940  54  1 0 2
25.8  3.456  100  2 -1 2
33.8  2.648  75  2 -1 4
39.5  2.280  51  3 0 0
44.4  2.039  23  1 1 6

Structure:
```
data_ThPbI6
_chemical_formula_sum 'Th2 Pb2 I12'
_cell_length_a 7.8969
_cell_length_b 7.8969
_cell_length_c 14.2840
_cell_angle_alpha 90.00
_cell_angle_beta 90.00
_cell_angle_gamma 120.00
_space_group_name_H-M_alt 'P -3 1 c'
_space_group_IT_number 163
_space_group_name_Hall '-P 3 2c'
loop_
_atom_site_label
_atom_site_fract_x
_atom_site_fract_y
_atom_site_fract_z
_atom_site_occupancy
Th1 0.3333 0.6667 0.2500 1
Pb1 0.0000 0.0000 0.0000 1
I1 0.0105 0.3507 0.3741 1
```

Record 4
Tl6PbI10: calculated X-ray diffraction stick pattern (a wavelength of 1.5418 Å), based on DFT lattice parameters and positions (PBE).

Principal peaks in the range 5 to 70 degrees two-theta, in order of rising 2θ:
2theta  d_spacing  I (rel.)  index
20.9  4.242  13  2 -1 2
28.4  3.148  100  3 0 0
31.1  2.873  49  1 1 4
42.6  2.121  17  2 2 4
43.9  2.060  12  5 -2 2
47.7  1.906  11  3 -1 6

Structure:
```
data_Tl6PbI10
_chemical_formula_sum 'Tl12 Pb2 I20'
_cell_length_a 10.8899
_cell_length_b 10.8899
_cell_length_c 13.5307
_cell_angle_alpha 90.00
_cell_angle_beta 90.00
_cell_angle_gamma 120.00
_space_group_name_H-M_alt 'P 3 1 c'
_space_group_IT_number 159
loop_
_space_group_symop_operation_xyz
'x,y,z'
'-y,x-y,z'
'-x+y,-x,z'
'y,x,z+1/2'
'x-y,-y,z+1/2'
'-x,-x+y,z+1/2'
loop_
_atom_site_label
_atom_site_fract_x
_atom_site_fract_y
_atom_site_fract_z
_atom_site_occupancy
Tl1 0.9997 0.3680 0.0000 1
Tl2 0.0306 0.6407 0.2513 1
Pb1 0.0000 0.0000 0.3780 1
I1 0.9997 0.2560 0.2530 1
I2 0.9999 0.7431 0.9997 1
I3 0.3333 0.6667 0.1035 1
I4 0.3333 0.6667 0.3965 1
I5 0.3333 0.6667 0.6422 1
I6 0.3333 0.6667 0.8589 1
```

Record 5
Pd3I: calculated X-ray diffraction stick pattern (a wavelength of 1.5418 Å), based on DFT lattice parameters and positions (PBE).

Principal peaks in the range 5 to 70 degrees two-theta, in order of rising 2θ:
2theta  d_spacing  I (rel.)  index
37.6  2.390  100  1 1 2
42.1  2.147  36  2 0 0
46.9  1.938  13  0 0 4
61.0  1.518  12  2 2 0
64.8  1.439  20  2 0 4

Structure:
```
data_Pd3I
_chemical_formula_sum 'Pd6 I2'
_cell_length_a 4.2939
_cell_length_b 4.2939
_cell_length_c 7.7518
_cell_angle_alpha 90.00
_cell_angle_beta 90.00
_cell_angle_gamma 90.00
_space_group_name_H-M_alt 'I 4/m m m'
_space_group_IT_number 139
_space_group_name_Hall '-I 4 2'
loop_
_atom_site_label
_atom_site_fract_x
_atom_site_fract_y
_atom_site_fract_z
_atom_site_occupancy
Pd1 0.0000 0.0000 0.0000 1
Pd2 0.0000 0.5000 0.2500 1
I1 0.0000 0.0000 0.5000 1
```

Record 6
PdI2: calculated X-ray diffraction stick pattern (a wavelength of 1.5418 Å), based on DFT lattice parameters and positions (PBE).

Principal peaks in the range 5 to 70 degrees two-theta, in order of rising 2θ:
2theta  d_spacing  I (rel.)  index
15.9  5.571  100  1 1 0
23.4  3.802  75  1 2 0
27.9  3.195  48  1 1 1
35.7  2.518  52  2 1 1
37.8  2.379  32  0 3 1
44.9  2.021  26  3 0 1

Structure:
```
data_PdI2
_chemical_formula_sum 'Pd2 I4'
_cell_length_a 7.0882
_cell_length_b 9.0084
_cell_length_c 3.9003
_cell_angle_alpha 90.00
_cell_angle_beta 90.00
_cell_angle_gamma 90.00
_space_group_name_H-M_alt 'P n n m'
_space_group_IT_number 58
loop_
_space_group_symop_operation_xyz
'x,y,z'
'-x,-y,-z'
'-x,-y,z'
'x,y,-z'
'x+1/2,-y+1/2,-z+1/2'
'-x+1/2,y+1/2,z+1/2'
'-x+1/2,y+1/2,-z+1/2'
'x+1/2,-y+1/2,z+1/2'
loop_
_atom_site_label
_atom_site_fract_x
_atom_site_fract_y
_atom_site_fract_z
_atom_site_occupancy
Pd1 0.0000 0.0000 0.0000 1
I1 0.1919 0.1260 0.5000 1
```

Record 7
PdI2: calculated X-ray diffraction stick pattern (a wavelength of 1.5418 Å), based on DFT lattice parameters and positions (PBE).

Principal peaks in the range 5 to 70 degrees two-theta, in order of rising 2θ:
2theta  d_spacing  I (rel.)  index
16.2  5.459  97  1 1 0
23.7  3.757  33  1 2 0
25.9  3.441  21  0 0 2
28.6  3.126  100  1 2 1
31.9  2.803  42  2 0 -2
43.3  2.090  32  1 2 -3

Structure:
```
data_PdI2
_chemical_formula_sum 'Pd4 I8'
_cell_length_a 7.0882
_cell_length_b 8.9773
_cell_length_c 7.1117
_cell_angle_alpha 90.00
_cell_angle_beta 104.32
_cell_angle_gamma 90.00
_space_group_name_H-M_alt 'P 1 21/c 1'
_space_group_IT_number 14
loop_
_space_group_symop_operation_xyz
'x,y,z'
'-x,-y,-z'
'-x,y+1/2,-z+1/2'
'x,-y+1/2,z+1/2'
loop_
_atom_site_label
_atom_site_fract_x
_atom_site_fract_y
_atom_site_fract_z
_atom_site_occupancy
Pd1 0.2222 0.1309 0.4986 1
I1 0.0137 0.5774 0.7760 1
I2 0.4340 0.1739 0.2432 1
```

Record 8
Rb2PdI6: calculated X-ray diffraction stick pattern (a wavelength of 1.5418 Å), based on DFT lattice parameters and positions (PBE).

Principal peaks in the range 5 to 70 degrees two-theta, in order of rising 2θ:
2theta  d_spacing  I (rel.)  index
13.4  6.611  22  1 1 1
27.0  3.305  100  2 2 2
31.2  2.863  82  4 0 0
44.8  2.024  58  4 4 0
53.1  1.726  42  6 2 2
55.6  1.653  20  4 4 4

Structure:
```
data_Rb2PdI6
_chemical_formula_sum 'Rb8 Pd4 I24'
_cell_length_a 11.4500
_cell_length_b 11.4500
_cell_length_c 11.4500
_cell_angle_alpha 90.00
_cell_angle_beta 90.00
_cell_angle_gamma 90.00
_space_group_name_H-M_alt 'F m -3 m'
_space_group_IT_number 225
_space_group_name_Hall '-F 4 2 3'
loop_
_atom_site_label
_atom_site_fract_x
_atom_site_fract_y
_atom_site_fract_z
_atom_site_occupancy
Rb1 0.2500 0.2500 0.2500 1
Pd1 0.0000 0.0000 0.0000 1
I1 0.0000 0.0000 0.2381 1
```

Record 9
Rb2PdI6: calculated X-ray diffraction stick pattern (a wavelength of 1.5418 Å), based on DFT lattice parameters and positions (PBE).

Principal peaks in the range 5 to 70 degrees two-theta, in order of rising 2θ:
2theta  d_spacing  I (rel.)  index
14.1  6.303  48  0 2 0
25.6  3.479  100  2 2 0
27.5  3.246  28  1 1 4
28.2  3.168  90  0 4 0
32.5  2.754  41  2 0 4
43.6  2.077  25  2 4 4

Structure:
```
data_Rb2PdI6
_chemical_formula_sum 'Rb8 Pd4 I24'
_cell_length_a 8.3297
_cell_length_b 12.6581
_cell_length_c 14.6817
_cell_angle_alpha 90.00
_cell_angle_beta 90.00
_cell_angle_gamma 90.00
_space_group_name_H-M_alt 'P n m a'
_space_group_IT_number 62
loop_
_space_group_symop_operation_xyz
'x,y,z'
'-x,-y,-z'
'-x+1/2,-y,z+1/2'
'x+1/2,y,-z+1/2'
'x+1/2,-y+1/2,-z+1/2'
'-x+1/2,y+1/2,z+1/2'
'-x,y+1/2,-z'
'x,-y+1/2,z'
loop_
_atom_site_label
_atom_site_fract_x
_atom_site_fract_y
_atom_site_fract_z
_atom_site_occupancy
Rb1 0.2107 0.0158 0.1390 1
Pd1 0.2337 0.2500 0.4022 1
I1 0.0053 0.2500 0.7833 1
I2 0.0134 0.2500 0.0045 1
I3 0.0215 0.7500 0.7060 1
I4 0.0500 0.2500 0.5881 1
I5 0.2357 0.0389 0.3946 1
```

Record 10
TePdI2: calculated X-ray diffraction stick pattern (a wavelength of 1.5418 Å), based on DFT lattice parameters and positions (PBE).

Principal peaks in the range 5 to 70 degrees two-theta, in order of rising 2θ:
2theta  d_spacing  I (rel.)  index
9.1  9.715  100  0 0 1
28.4  3.143  26  1 1 -2
29.7  3.005  48  1 -1 2
30.3  2.946  27  0 2 1
33.7  2.661  29  1 1 -3
44.4  2.041  16  2 0 0

Structure:
```
data_TePdI2
_chemical_formula_sum 'Te2 Pd2 I4'
_cell_length_a 4.0955
_cell_length_b 7.1193
_cell_length_c 10.1995
_cell_angle_alpha 107.19
_cell_angle_beta 93.91
_cell_angle_gamma 91.15
_space_group_name_H-M_alt 'P -1'
_space_group_IT_number 2
loop_
_space_group_symop_operation_xyz
'x,y,z'
'-x,-y,-z'
loop_
_atom_site_label
_atom_site_fract_x
_atom_site_fract_y
_atom_site_fract_z
_atom_site_occupancy
Te1 0.2118 0.3583 0.3686 1
Pd1 0.2497 0.7430 0.4839 1
I1 0.2805 0.6715 0.8745 1
I2 0.2939 0.1269 0.6668 1
```

Record 11
TePdI2: calculated X-ray diffraction stick pattern (a wavelength of 1.5418 Å), based on DFT lattice parameters and positions (PBE).

Principal peaks in the range 5 to 70 degrees two-theta, in order of rising 2θ:
2theta  d_spacing  I (rel.)  index
10.3  8.564  87  0 0 1
26.1  3.408  51  1 1 2
27.3  3.270  74  0 2 2
28.1  3.180  78  1 -1 1
28.5  3.128  100  1 1 -1
45.3  2.002  48  -1 3 1

Structure:
```
data_TePdI2
_chemical_formula_sum 'Te2 Pd2 I4'
_cell_length_a 4.4391
_cell_length_b 7.2523
_cell_length_c 9.2871
_cell_angle_alpha 68.32
_cell_angle_beta 80.76
_cell_angle_gamma 82.76
_space_group_name_H-M_alt 'P -1'
_space_group_IT_number 2
loop_
_space_group_symop_operation_xyz
'x,y,z'
'-x,-y,-z'
loop_
_atom_site_label
_atom_site_fract_x
_atom_site_fract_y
_atom_site_fract_z
_atom_site_occupancy
Te1 0.1620 0.0049 0.1498 1
Pd1 0.2640 0.7515 0.0040 1
I1 0.1994 0.2055 0.5720 1
I2 0.3567 0.5333 0.8115 1
```

Record 12
PmI: calculated X-ray diffraction stick pattern (a wavelength of 1.5418 Å), based on DFT lattice parameters and positions (PBE).

Principal peaks in the range 5 to 70 degrees two-theta, in order of rising 2θ:
2theta  d_spacing  I (rel.)  index
26.4  3.382  29  1 0 0
32.5  2.756  100  1 0 1
37.9  2.376  15  0 0 2
46.5  1.953  24  1 1 0
57.9  1.593  19  2 0 1
61.5  1.509  21  1 1 2

Structure:
```
data_PmI
_chemical_formula_sum 'Pm1 I1'
_cell_length_a 3.9051
_cell_length_b 3.9051
_cell_length_c 4.7530
_cell_angle_alpha 90.00
_cell_angle_beta 90.00
_cell_angle_gamma 120.00
_space_group_name_H-M_alt 'P -6 m 2'
_space_group_IT_number 187
_space_group_name_Hall 'P -6 2'
loop_
_atom_site_label
_atom_site_fract_x
_atom_site_fract_y
_atom_site_fract_z
_atom_site_occupancy
Pm1 0.0000 0.0000 0.0000 1
I1 0.3333 0.6667 0.5000 1
```